# Li3Ti2V2O8
Theoretical powder diffractogram, Cu Ka. Input: a crystal structure in Alexandria, relaxed with PBE+U.

Cell lengths 5.974, 5.974, 6.023 Å; angles 120.16, 120.16, 59.82 degrees
Fractional positions:
Li: 0.000 0.000 0.000
Li: 0.000 0.500 0.500
Li: 0.500 0.000 0.500
Ti: 0.000 0.500 0.000
Ti: 0.500 0.000 0.000
V: 0.500 0.500 0.000
V: 0.500 0.500 0.500
O: 0.249 0.720 0.224
O: 0.251 0.251 0.231
O: 0.255 0.255 0.779
O: 0.280 0.751 0.776
O: 0.720 0.249 0.224
O: 0.745 0.745 0.221
O: 0.749 0.749 0.769
O: 0.751 0.280 0.776

Top 6 peaks for 15 to 90 degrees two-theta, low angle first:
d/Å, 2θ (°), I (rel.)
4.904, 18.09, 96
4.867, 18.23, 96
2.546, 35.24, 30
2.118, 42.70, 100
2.110, 42.86, 49
1.493, 62.16, 27